No. 1
Diffraction record for BaLaPm. The powder diffractogram is theoretical, not measured: it uses a cell relaxed with GGA-PBE and Cu Kα (λ = 1.5418 Å).
Intensities are scaled so that the largest is 100.

Largest 12 diffraction maxima, sorted by position, 10° ≤ 2θ ≤ 90°:
2θ (°)  Rel. int.
27.97  100
31.35  16
32.92  34
46.10  21
47.25  12
53.76  10
55.81  29
57.81  11
74.34  8
76.07  6
78.64  6
87.08  7

Structural model:
a = 8.981 Å, b = 8.981 Å, c = 8.981 Å
α = 155.26°, β = 155.26°, γ = 35.27°
Atoms (fractional coordinates):
Ba (0.000, 0.000, 0.000)
La (0.685, 0.685, 0.000)
Pm (0.322, 0.322, 0.000)

No. 2
Diffraction record for Ba2LaPt. The powder diffractogram is theoretical, not measured: it uses a cell relaxed with GGA-PBE and Cu Kα (λ = 1.5418 Å).
Intensities are scaled so that the largest is 100.

Largest 12 diffraction maxima, sorted by position, 10° ≤ 2θ ≤ 90°:
2θ (°)  Rel. int.
22.70  40
24.86  37
27.11  56
29.59  100
29.94  20
40.56  76
42.33  55
51.01  39
61.42  24
68.38  17
69.65  17
76.24  24

Structural model:
a = 4.269 Å, b = 19.734 Å, c = 4.269 Å
α = 90.00°, β = 90.00°, γ = 90.00°
Atoms (fractional coordinates):
Ba (0.000, 0.086, 0.000)
Ba (0.000, 0.738, 0.999)
Ba (0.500, 0.262, 0.499)
Ba (0.500, 0.914, 0.500)
La (0.000, 0.430, 0.997)
La (0.500, 0.570, 0.497)
Pt (0.000, 0.579, 0.997)
Pt (0.500, 0.421, 0.497)

No. 3
Diffraction record for Ba2LaSn3Pt4. The powder diffractogram is theoretical, not measured: it uses a cell relaxed with GGA-PBE and Cu Kα (λ = 1.5418 Å).
Intensities are scaled so that the largest is 100.

Largest 12 diffraction maxima, sorted by position, 10° ≤ 2θ ≤ 90°:
2θ (°)  Rel. int.
15.88  15
19.99  12
30.29  43
30.63  100
37.14  87
41.76  49
44.69  21
48.65  24
53.54  34
59.46  17
62.96  31
70.10  22

Structural model:
a = 4.842 Å, b = 4.842 Å, c = 11.163 Å
α = 90.00°, β = 90.00°, γ = 90.00°
Atoms (fractional coordinates):
Ba (0.000, 0.500, 0.228)
Ba (0.500, 0.000, 0.772)
La (0.000, 0.000, 0.500)
Sn (0.000, 0.500, 0.885)
Sn (0.500, 0.000, 0.115)
Sn (0.500, 0.500, 0.500)
Pt (0.000, 0.000, 0.000)
Pt (0.000, 0.500, 0.642)
Pt (0.500, 0.000, 0.358)
Pt (0.500, 0.500, 0.000)